# GaReTc4
Computed powder X-ray diffraction pattern, Cu Kα, 1.54184 Å. Input: a crystal structure in Alexandria, relaxed with PBE.
No peak broadening, texture or thermal motion is included.

Main lines, by angle (2θ from 5° to 70°):
- 11.85 deg, I = 28
- 39.33 deg, I = 43
- 41.30 deg, I = 77
- 41.49 deg, I = 51
- 41.80 deg, I = 100
- 58.49 deg, I = 27

Structural model:
```
data_GaReTc4
_symmetry_space_group_name_H-M 'P 1 2/m 1'
_symmetry_Int_Tables_number 10
_cell_length_a 2.758
_cell_length_b 4.353
_cell_length_c 7.486
_cell_angle_alpha 90.00
_cell_angle_beta 93.88
_cell_angle_gamma 90.00
loop_
_symmetry_equiv_pos_as_xyz
'x,y,z'
'-x,-y,-z'
'-x,y,-z'
'x,-y,z'
loop_
_atom_site_label
_atom_site_type_symbol
_atom_site_fract_x
_atom_site_fract_y
_atom_site_fract_z
_atom_site_occupancy
Ga1 Ga 0.000 0.000 0.000 1
Re1 Re 0.000 0.500 0.500 1
Tc1 Tc 0.368 0.500 0.164 1
Tc2 Tc 0.488 0.000 0.664 1
```